[1]
This entry pairs a crystal structure of La7SmTi3V5O24 with its theoretical powder diffractogram. Radiation: Cu Kα. Structure: the PBE+U geometry in the Materials Project.
Neutral-atom scattering factors, no anomalous dispersion.

a = 11.225 Å, b = 11.171 Å, c = 7.913 Å
α = 90.00°, β = 90.09°, γ = 90.00°
Space group Cm (No. 8)
Unique sites:
1 La 0.000 0.000 0.000 [2 per cell]
2 La 0.001 0.000 0.507 [2 per cell]
3 La 0.003 0.500 0.000 [2 per cell]
4 La 0.251 0.252 0.000 [4 per cell]
5 La 0.252 0.252 0.508 [4 per cell]
6 Sm 0.004 0.500 0.510 [2 per cell]
7 Ti 0.002 0.251 0.254 [4 per cell]
8 Ti 0.252 0.000 0.254 [2 per cell]
9 V 0.001 0.250 0.753 [4 per cell]
10 V 0.251 0.500 0.753 [2 per cell]
11 V 0.252 0.000 0.754 [2 per cell]
12 V 0.252 0.500 0.254 [2 per cell]
13 O 0.001 0.250 0.009 [4 per cell]
14 O 0.002 0.252 0.499 [4 per cell]
15 O 0.123 0.374 0.255 [4 per cell]
16 O 0.124 0.376 0.751 [4 per cell]
17 O 0.125 0.127 0.754 [4 per cell]
18 O 0.127 0.126 0.254 [4 per cell]
19 O 0.249 0.500 0.508 [2 per cell]
20 O 0.251 0.000 0.011 [2 per cell]
21 O 0.252 0.500 0.999 [2 per cell]
22 O 0.254 0.000 0.497 [2 per cell]
23 O 0.377 0.375 0.754 [4 per cell]
24 O 0.378 0.124 0.255 [4 per cell]
25 O 0.379 0.126 0.751 [4 per cell]
26 O 0.379 0.372 0.254 [4 per cell]

Most intense lines, 2θ = 15–90°, in order of rising 2θ:
2θ = 22.46°, 3.958 Å, I 40, (2 2 0); 2θ = 31.94°, 2.802 Å, I 100, (4 0 0); 2θ = 32.01°, 2.796 Å, I 99, (2 2 2); 2θ = 39.36°, 2.289 Å, I 25, (4 0 -2); 2θ = 39.50°, 2.282 Å, I 24, (0 4 2); 2θ = 45.85°, 1.979 Å, I 67, (4 4 0); 2θ = 56.89°, 1.619 Å, I 32, (6 2 -2); 2θ = 57.06°, 1.614 Å, I 44, (2 6 2); 2θ = 66.86°, 1.399 Å, I 26, (4 4 -4); 2θ = 76.02°, 1.252 Å, I 16, (6 6 -2)


[2]
This entry pairs a crystal structure of Li9Mn2Co5O16 with its theoretical powder diffractogram. Radiation: Cu Kα. Structure: the PBE+U geometry in the Materials Project.
Neutral-atom scattering factors, no anomalous dispersion.

a = 4.998 Å, b = 5.974 Å, c = 10.083 Å
α = 103.47°, β = 99.88°, γ = 93.49°
Space group P1 (No. 1)
Unique sites:
1 Li 0.000 0.000 0.000 [1 per cell]
2 Li 0.001 0.504 0.001 [1 per cell]
3 Li 0.003 0.999 0.494 [1 per cell]
4 Li 0.496 0.258 0.003 [1 per cell]
5 Li 0.497 0.245 0.494 [1 per cell]
6 Li 0.512 0.737 0.490 [1 per cell]
7 Li 0.514 0.738 0.001 [1 per cell]
8 Li 0.752 0.619 0.245 [1 per cell]
9 Li 0.995 0.497 0.490 [1 per cell]
10 Mn 0.252 0.868 0.745 [1 per cell]
11 Mn 0.752 0.125 0.747 [1 per cell]
12 Co 0.249 0.866 0.243 [1 per cell]
13 Co 0.253 0.375 0.748 [1 per cell]
14 Co 0.264 0.381 0.248 [1 per cell]
15 Co 0.753 0.619 0.746 [1 per cell]
16 Co 0.758 0.123 0.247 [1 per cell]
17 O 0.111 0.202 0.363 [1 per cell]
18 O 0.112 0.689 0.862 [1 per cell]
19 O 0.117 0.195 0.862 [1 per cell]
20 O 0.157 0.664 0.350 [1 per cell]
21 O 0.364 0.539 0.127 [1 per cell]
22 O 0.379 0.082 0.145 [1 per cell]
23 O 0.388 0.051 0.628 [1 per cell]
24 O 0.395 0.546 0.633 [1 per cell]
25 O 0.600 0.421 0.360 [1 per cell]
26 O 0.613 0.449 0.864 [1 per cell]
27 O 0.616 0.942 0.864 [1 per cell]
28 O 0.619 0.945 0.354 [1 per cell]
29 O 0.888 0.794 0.626 [1 per cell]
30 O 0.892 0.296 0.139 [1 per cell]
31 O 0.894 0.306 0.631 [1 per cell]
32 O 0.897 0.825 0.135 [1 per cell]

Most intense lines, 2θ = 15–90°, in order of rising 2θ:
2θ = 18.44°, 4.812 Å, I 100, (0 0 2); 2θ = 34.34°, 2.611 Å, I 19, (1 -2 0); 2θ = 36.71°, 2.448 Å, I 12, (2 0 0); 2θ = 36.82°, 2.441 Å, I 11, (1 2 -2); 2θ = 41.29°, 2.186 Å, I 33, (-1 2 2); 2θ = 44.63°, 2.030 Å, I 26, (2 0 2); 2θ = 44.91°, 2.018 Å, I 25, (1 2 -4); 2θ = 62.36°, 1.489 Å, I 16, (3 -2 0); 2θ = 62.51°, 1.486 Å, I 8, (1 2 4); 2θ = 62.90°, 1.478 Å, I 8, (2 0 -6)


[3]
This entry pairs a crystal structure of CoSnC4Cl3O4 with its theoretical powder diffractogram. Radiation: Cu Kα. Structure: the PBE+U geometry in the Materials Project.
Neutral-atom scattering factors, no anomalous dispersion.

a = 10.6349 Å, b = 10.6349 Å, c = 9.5736 Å
α = 90.00°, β = 90.00°, γ = 120.00°
Space group R3 (No. 146, hexagonal axes)
Unique sites:
1 Co 0.0000 0.0000 0.0000 [3 per cell]
2 Sn 0.0000 0.0000 0.7361 [3 per cell]
3 C 0.0000 0.0000 0.1851 [3 per cell]
4 C 0.0490 0.1864 0.9849 [9 per cell]
5 Cl 0.1350 0.6732 0.3007 [9 per cell]
6 O 0.0000 0.0000 0.3053 [3 per cell]
7 O 0.0258 0.4408 0.6472 [9 per cell]

Most intense lines, 2θ = 15–90°, in order of rising 2θ:
2θ = 16.67°, 5.317 Å, I 100, (1 1 0); 2θ = 21.41°, 4.150 Å, I 24, (0 2 1); 2θ = 27.26°, 3.272 Å, I 31, (3 -1 1); 2θ = 27.96°, 3.191 Å, I 19, (0 0 3); 2θ = 29.09°, 3.070 Å, I 25, (3 0 0); 2θ = 31.78°, 2.815 Å, I 25, (3 -2 2); 2θ = 32.73°, 2.736 Å, I 20, (2 -1 3); 2θ = 33.71°, 2.659 Å, I 15, (2 2 0); 2θ = 45.11°, 2.010 Å, I 29, (1 4 0); 2θ = 46.02°, 1.972 Å, I 23, (3 -1 4)


[4]
This entry pairs a crystal structure of Li4TiCo3O8 with its theoretical powder diffractogram. Radiation: Cu Kα. Structure: the PBE+U geometry in the Materials Project.
Neutral-atom scattering factors, no anomalous dispersion.

a = 5.907 Å, b = 5.911 Å, c = 10.333 Å
α = 89.98°, β = 73.43°, γ = 60.05°
Space group P-1 (No. 2)
Unique sites:
1 Li 0.000 0.249 0.250 [2 per cell]
2 Li 0.001 0.249 0.751 [2 per cell]
3 Li 0.499 0.751 0.749 [2 per cell]
4 Li 0.500 0.249 0.751 [2 per cell]
5 Ti 0.000 0.000 0.000 [1 per cell]
6 Ti 0.000 0.500 0.500 [1 per cell]
7 Co 0.000 0.000 0.500 [1 per cell]
8 Co 0.000 0.500 0.000 [1 per cell]
9 Co 0.500 0.000 0.000 [1 per cell]
10 Co 0.500 0.000 0.500 [1 per cell]
11 Co 0.500 0.500 0.000 [1 per cell]
12 Co 0.500 0.500 0.500 [1 per cell]
13 O 0.235 0.122 0.884 [2 per cell]
14 O 0.239 0.641 0.884 [2 per cell]
15 O 0.241 0.142 0.383 [2 per cell]
16 O 0.241 0.617 0.384 [2 per cell]
17 O 0.244 0.378 0.616 [2 per cell]
18 O 0.244 0.388 0.108 [2 per cell]
19 O 0.245 0.870 0.116 [2 per cell]
20 O 0.277 0.862 0.611 [2 per cell]

Most intense lines, 2θ = 15–90°, in order of rising 2θ:
2θ = 18.18°, 4.879 Å, I 100, (0 0 2); 2θ = 35.61°, 2.521 Å, I 43, (0 2 0); 2θ = 37.22°, 2.416 Å, I 14, (0 2 -2); 2θ = 43.13°, 2.097 Å, I 80, (0 2 2); 2θ = 47.19°, 1.926 Å, I 10, (2 2 4); 2θ = 56.84°, 1.620 Å, I 9, (2 2 -4); 2θ = 62.39°, 1.488 Å, I 22, (2 2 6); 2θ = 62.90°, 1.478 Å, I 22, (4 2 2); 2θ = 66.06°, 1.414 Å, I 12, (2 4 -2); 2θ = 79.32°, 1.208 Å, I 10, (4 4 4)